This entry pairs a crystal structure of Tb3Pr3PuS8 with its calculated X-ray diffraction stick pattern. Radiation: Cu Ka. Structure: a DFT-relaxed cell (GGA-PBE, Alexandria).
Lines closer than 0.1° are merged.

Most intense lines, 2θ = 10–80°, in order of rising 2θ:
- 13.57°, intensity 17
- 26.99°, intensity 19
- 27.33°, intensity 54
- 31.56°, intensity 100
- 45.02°, intensity 37
- 45.46°, intensity 36
- 53.66°, intensity 18
- 56.39°, intensity 19
- 74.58°, intensity 16
- 75.23°, intensity 16

Structure:
Cell: 8.0555 8.0555 8.0555 Å, 59.39 59.39 59.39°
Fractional positions:
Tb1 0.0000 0.5000 0.5000
Tb2 0.5000 0.0000 0.5000
Tb3 0.5000 0.5000 0.0000
Pr1 0.0000 0.0000 0.5000
Pr2 0.0000 0.5000 0.0000
Pr3 0.5000 0.0000 0.0000
Pu1 0.0000 0.0000 0.0000
S1 0.2482 0.2482 0.7415
S2 0.2482 0.7415 0.2482
S3 0.2550 0.2550 0.2550
S4 0.2585 0.7518 0.7518
S5 0.7415 0.2482 0.2482
S6 0.7450 0.7450 0.7450
S7 0.7518 0.2585 0.7518
S8 0.7518 0.7518 0.2585